1.
# BaAg2SnAu4
Computed powder diffractogram, Cu Kα (weighted mean of Kα1 and Kα2). Input: a structure optimized by DFT (GGA-PBE).

Principal peaks in the range 2θ = 5–70°, low angle first:
- 2θ = 9.2°, d 9.626, I 23
- 2θ = 33.0°, d 2.718, I 77
- 2θ = 37.7°, d 2.384, I 100
- 2θ = 38.0°, d 2.367, I 13
- 2θ = 40.7°, d 2.216, I 30
- 2θ = 50.9°, d 1.792, I 22
- 2θ = 65.1°, d 1.433, I 22
- 2θ = 68.1°, d 1.377, I 18

```
8
Lattice="2.3844 1.3766 9.6259 -2.3844 1.3766 9.6259 0.0000 -2.7533 9.6259" Properties=species:S:1:pos:R:3 pbc="T T T"
Ba 0.0000 0.0000 0.0000
Ag 0.0000 0.0000 6.8982
Ag 0.0000 0.0000 21.9794
Sn 0.0000 0.0000 14.4388
Au 0.0000 0.0000 3.6149
Au 0.0000 0.0000 11.6043
Au 0.0000 0.0000 17.2733
Au 0.0000 0.0000 25.2628
```


2.
# Ba2Tl6AgAu
Computed powder diffractogram, Cu Kα (weighted mean of Kα1 and Kα2). Input: a structure optimized by DFT (GGA-PBE).

Principal peaks in the range 2θ = 5–70°, low angle first:
- 2θ = 28.5°, d 3.133, I 100
- 2θ = 30.0°, d 2.979, I 47
- 2θ = 32.0°, d 2.799, I 94
- 2θ = 33.6°, d 2.668, I 61
- 2θ = 34.0°, d 2.640, I 83
- 2θ = 36.9°, d 2.437, I 33
- 2θ = 37.1°, d 2.425, I 50
- 2θ = 37.4°, d 2.406, I 32

```
10
Lattice="7.3501 0.0000 0.0000 0.0000 5.2791 0.0000 -1.5864 0.0000 8.1852" Properties=species:S:1:pos:R:3 pbc="T T T"
Ba 0.9408 0.0000 2.8027
Ba 4.8228 0.0000 5.3824
Tl 0.1786 2.6395 5.4337
Tl 0.6066 0.0000 7.3018
Tl 2.6761 2.6395 1.1572
Tl 3.0876 2.6395 7.0279
Tl 5.1570 0.0000 0.8834
Tl 5.5850 2.6395 2.7514
Ag 0.0000 2.6395 0.0000
Au 2.8818 2.6395 4.0926
```


3.
# Ba2ZnAg2Au4
Computed powder diffractogram, Cu Kα (weighted mean of Kα1 and Kα2). Input: a structure optimized by DFT (GGA-PBE).

Principal peaks in the range 2θ = 5–70°, low angle first:
- 2θ = 19.1°, d 4.642, I 11
- 2θ = 32.1°, d 2.786, I 100
- 2θ = 36.5°, d 2.463, I 46
- 2θ = 38.8°, d 2.321, I 17
- 2θ = 52.5°, d 1.742, I 15
- 2θ = 54.3°, d 1.689, I 23
- 2θ = 62.9°, d 1.477, I 25
- 2θ = 67.2°, d 1.393, I 11

```
9
Lattice="-3.4837 3.4837 4.6416 3.4837 -3.4837 4.6416 3.4837 3.4837 -4.6416" Properties=species:S:1:pos:R:3 pbc="T T T"
Ba 3.4837 0.0000 2.3208
Ba 0.0000 3.4837 2.3208
Zn 0.0000 0.0000 0.0000
Ag 0.0000 0.0000 2.7518
Ag 0.0000 0.0000 6.5314
Au 1.8939 1.8939 0.0000
Au 1.5899 -1.5899 4.6416
Au -1.5899 1.5899 4.6416
Au 1.5899 1.5899 4.6416
```


4.
# Ba2Zn3Ag4Au
Computed powder diffractogram, Cu Kα (weighted mean of Kα1 and Kα2). Input: a structure optimized by DFT (GGA-PBE).

Principal peaks in the range 2θ = 5–70°, low angle first:
- 2θ = 31.3°, d 2.860, I 100
- 2θ = 31.6°, d 2.836, I 45
- 2θ = 37.3°, d 2.409, I 66
- 2θ = 43.5°, d 2.082, I 24
- 2θ = 47.1°, d 1.929, I 16
- 2θ = 49.7°, d 1.836, I 25
- 2θ = 53.8°, d 1.703, I 22
- 2θ = 63.6°, d 1.463, I 25

```
10
Lattice="4.8177 0.0000 0.0000 0.0000 4.8177 0.0000 0.0000 0.0000 10.5226" Properties=species:S:1:pos:R:3 pbc="T T T"
Ba 0.0000 2.4088 2.5852
Ba 2.4088 0.0000 7.9374
Zn 0.0000 0.0000 0.0000
Zn 0.0000 2.4088 6.4736
Zn 2.4088 0.0000 4.0490
Ag 0.0000 0.0000 5.2613
Ag 0.0000 2.4088 9.1003
Ag 2.4088 0.0000 1.4223
Ag 2.4088 2.4088 5.2613
Au 2.4088 2.4088 0.0000
```


5.
# BaZn2Ag2Au
Computed powder diffractogram, Cu Kα (weighted mean of Kα1 and Kα2). Input: a structure optimized by DFT (GGA-PBE).

Principal peaks in the range 2θ = 5–70°, low angle first:
- 2θ = 14.3°, d 6.191, I 24
- 2θ = 25.5°, d 3.492, I 59
- 2θ = 34.2°, d 2.623, I 100
- 2θ = 36.4°, d 2.469, I 67
- 2θ = 50.8°, d 1.798, I 64
- 2θ = 52.4°, d 1.746, I 23
- 2θ = 59.2°, d 1.562, I 11
- 2θ = 64.1°, d 1.454, I 16

```
6
Lattice="4.9390 0.0000 0.0000 0.0000 4.9390 0.0000 0.0000 0.0000 6.1908" Properties=species:S:1:pos:R:3 pbc="T T T"
Ba 0.0000 0.0000 0.0000
Zn 0.0000 2.4695 3.0954
Zn 2.4695 0.0000 3.0954
Ag 2.4695 2.4695 1.4780
Ag 2.4695 2.4695 4.7129
Au 0.0000 0.0000 3.0954
```


6.
# BaZn2AgAu2
Computed powder diffractogram, Cu Kα (weighted mean of Kα1 and Kα2). Input: a structure optimized by DFT (GGA-PBE).

Principal peaks in the range 2θ = 5–70°, low angle first:
- 2θ = 11.8°, d 7.469, I 27
- 2θ = 25.4°, d 3.513, I 58
- 2θ = 32.9°, d 2.724, I 100
- 2θ = 39.2°, d 2.298, I 94
- 2θ = 42.8°, d 2.111, I 22
- 2θ = 52.1°, d 1.756, I 27
- 2θ = 54.3°, d 1.689, I 38
- 2θ = 67.1°, d 1.396, I 25

```
6
Lattice="4.5963 0.0000 0.0000 -2.2982 3.9805 0.0000 0.0000 0.0000 7.4695" Properties=species:S:1:pos:R:3 pbc="T T T"
Ba 0.0000 0.0000 0.0000
Zn 0.0000 2.6537 2.5035
Zn 2.2982 1.3268 4.9660
Ag 0.0000 0.0000 3.7347
Au 0.0000 2.6537 5.2389
Au 2.2982 1.3268 2.2306
```


7.
# Be2Ag2Au3
Computed powder diffractogram, Cu Kα (weighted mean of Kα1 and Kα2). Input: a structure optimized by DFT (GGA-PBE).

Principal peaks in the range 2θ = 5–70°, low angle first:
- 2θ = 30.9°, d 2.893, I 56
- 2θ = 33.4°, d 2.684, I 74
- 2θ = 36.8°, d 2.442, I 53
- 2θ = 38.7°, d 2.329, I 59
- 2θ = 38.9°, d 2.317, I 100
- 2θ = 39.8°, d 2.266, I 54
- 2θ = 41.5°, d 2.177, I 44
- 2θ = 44.6°, d 2.032, I 47

```
7
Lattice="5.3922 -1.5168 0.0000 5.3922 1.5168 0.0000 -3.3174 0.0000 6.5314" Properties=species:S:1:pos:R:3 pbc="T T T"
Be 1.1038 0.0000 1.5545
Be 6.3632 0.0000 4.9768
Ag -1.0536 0.0000 5.3483
Ag 8.5206 0.0000 1.1830
Au 2.3267 0.0000 3.6106
Au 5.3922 0.0000 0.0000
Au 5.1402 0.0000 2.9207
```


8.
# BeAg2Au3
Computed powder diffractogram, Cu Kα (weighted mean of Kα1 and Kα2). Input: a structure optimized by DFT (GGA-PBE).

Principal peaks in the range 2θ = 5–70°, low angle first:
- 2θ = 24.8°, d 3.595, I 12
- 2θ = 29.4°, d 3.037, I 22
- 2θ = 32.0°, d 2.798, I 15
- 2θ = 37.5°, d 2.397, I 9
- 2θ = 38.8°, d 2.320, I 100
- 2θ = 41.8°, d 2.162, I 22
- 2θ = 42.4°, d 2.134, I 23
- 2θ = 61.0°, d 1.519, I 14

```
12
Lattice="2.1340 -6.4854 0.0000 2.1340 6.4854 0.0000 0.0000 0.0000 7.1906" Properties=species:S:1:pos:R:3 pbc="T T T"
Be 2.1340 4.4450 0.0000
Be 2.1340 -4.4450 0.0000
Ag 2.1340 4.3067 3.5953
Ag 2.1340 0.0000 0.0000
Ag 2.1340 0.0000 3.5953
Ag 2.1340 -4.3067 3.5953
Au 0.0000 0.0000 1.6962
Au 0.0000 0.0000 5.4944
Au 2.1340 2.3082 1.4919
Au 2.1340 2.3082 5.6988
Au 2.1340 -2.3082 1.4919
Au 2.1340 -2.3082 5.6988
```


9.
# Be2AgAu4
Computed powder diffractogram, Cu Kα (weighted mean of Kα1 and Kα2). Input: a structure optimized by DFT (GGA-PBE).

Principal peaks in the range 2θ = 5–70°, low angle first:
- 2θ = 26.9°, d 3.310, I 19
- 2θ = 31.3°, d 2.856, I 83
- 2θ = 36.7°, d 2.450, I 51
- 2θ = 40.2°, d 2.245, I 100
- 2θ = 42.7°, d 2.117, I 31
- 2θ = 51.8°, d 1.765, I 21
- 2θ = 55.5°, d 1.655, I 15
- 2θ = 67.5°, d 1.388, I 13

```
14
Lattice="2.2420 -3.8925 0.0000 2.2420 3.8925 0.0000 0.0000 0.0000 12.6231" Properties=species:S:1:pos:R:3 pbc="T T T"
Be 2.2420 2.5979 7.0875
Be 2.2420 2.5979 11.8472
Be 2.2420 -2.5979 0.7759
Be 2.2420 -2.5979 5.5356
Ag 2.2420 -0.0025 3.1558
Ag 2.2420 0.0025 9.4673
Au 2.2420 2.5923 1.5214
Au 2.2420 2.5923 4.7902
Au 2.2420 2.5940 9.4673
Au 2.2420 0.0000 0.0000
Au 2.2420 0.0000 6.3116
Au 2.2420 -2.5940 3.1558
Au 2.2420 -2.5923 7.8329
Au 2.2420 -2.5923 11.1017
```


10.
# Be2In2AgAu5
Computed powder diffractogram, Cu Kα (weighted mean of Kα1 and Kα2). Input: a structure optimized by DFT (GGA-PBE).

Principal peaks in the range 2θ = 5–70°, low angle first:
- 2θ = 26.4°, d 3.381, I 27
- 2θ = 33.0°, d 2.715, I 37
- 2θ = 35.2°, d 2.547, I 28
- 2θ = 36.4°, d 2.469, I 100
- 2θ = 38.6°, d 2.332, I 68
- 2θ = 39.6°, d 2.278, I 20
- 2θ = 41.7°, d 2.168, I 26
- 2θ = 64.7°, d 1.440, I 24

```
20
Lattice="10.1890 0.0000 0.0000 0.0000 10.1890 0.0000 0.0000 0.0000 3.3808" Properties=species:S:1:pos:R:3 pbc="T T T"
Be 1.2877 3.8068 0.0000
Be 3.8068 8.9013 0.0000
Be 6.3822 1.2877 0.0000
Be 8.9013 6.3822 0.0000
In 1.8683 6.9628 0.0000
In 3.2262 1.8683 0.0000
In 6.9628 8.3207 0.0000
In 8.3207 3.2262 0.0000
Ag 0.0000 0.0000 0.0000
Ag 5.0945 5.0945 0.0000
Au 0.0000 5.0945 1.6904
Au 0.5351 2.2297 1.6904
Au 2.2297 9.6540 1.6904
Au 2.8648 4.5594 1.6904
Au 4.5594 7.3242 1.6904
Au 5.0945 0.0000 1.6904
Au 5.6296 2.8648 1.6904
Au 7.3242 5.6296 1.6904
Au 7.9593 0.5351 1.6904
Au 9.6540 7.9593 1.6904
```


11.
# Na2Be3AgAu12
Computed powder diffractogram, Cu Kα (weighted mean of Kα1 and Kα2). Input: a structure optimized by DFT (GGA-PBE).

Principal peaks in the range 2θ = 5–70°, low angle first:
- 2θ = 20.9°, d 4.246, I 20
- 2θ = 24.0°, d 3.712, I 27
- 2θ = 32.0°, d 2.795, I 100
- 2θ = 33.9°, d 2.645, I 25
- 2θ = 38.6°, d 2.334, I 25
- 2θ = 42.6°, d 2.123, I 54
- 2θ = 49.1°, d 1.856, I 31
- 2θ = 54.3°, d 1.690, I 18

```
18
Lattice="4.2458 2.4513 5.7341 -4.2458 2.4513 5.7341 0.0000 -4.9027 5.7341" Properties=species:S:1:pos:R:3 pbc="T T T"
Na 0.0000 0.0000 1.5962
Na 0.0000 0.0000 15.6060
Be -2.1229 -1.2257 5.7341
Be -2.1229 1.2257 11.4681
Be 0.0000 2.4513 5.7340
Ag 0.0000 0.0000 8.6011
Au -2.2803 -1.3166 7.9847
Au 0.0000 -2.1783 5.2555
Au -1.8865 1.0892 5.2555
Au 0.0000 -2.6331 9.2174
Au -2.2803 1.3166 9.2174
Au -1.8865 -1.0892 11.9467
Au 1.8865 1.0892 5.2554
Au 2.2803 -1.3166 7.9847
Au 0.0000 2.6331 7.9847
Au 1.8865 -1.0892 11.9467
Au 0.0000 2.1783 11.9467
Au 2.2803 1.3166 9.2174
```


12.
# AgBiAu6
Computed powder diffractogram, Cu Kα (weighted mean of Kα1 and Kα2). Input: a structure optimized by DFT (GGA-PBE).

Principal peaks in the range 2θ = 5–70°, low angle first:
- 2θ = 30.8°, d 2.906, I 2
- 2θ = 36.5°, d 2.461, I 100
- 2θ = 40.9°, d 2.204, I 37
- 2θ = 45.2°, d 2.006, I 13
- 2θ = 53.9°, d 1.701, I 2
- 2θ = 59.3°, d 1.559, I 13
- 2θ = 62.6°, d 1.483, I 20
- 2θ = 65.4°, d 1.427, I 2

```
8
Lattice="4.4087 0.0000 0.0000 0.0000 4.4087 0.0000 0.0000 0.0000 8.0224" Properties=species:S:1:pos:R:3 pbc="T T T"
Ag 0.0000 0.0000 0.0000
Bi 0.0000 0.0000 4.0112
Au 0.0000 2.2044 1.8791
Au 0.0000 2.2044 6.1433
Au 2.2044 0.0000 1.8791
Au 2.2044 0.0000 6.1433
Au 2.2044 2.2044 0.0000
Au 2.2044 2.2044 4.0112
```